This entry pairs a crystal structure of Nd6Ho2Th with its computed powder X-ray diffraction pattern. Radiation: Cu Kα X-rays. Structure: a structure optimized by DFT (GGA-PBE).
Neutral-atom scattering factors, no anomalous dispersion.

Peak list (8 most intense, 2θ from 5° to 70°, sorted by position)
2theta	d [Å]	I (rel.)
28.4	3.145	448
29.6	3.016	464
31.4	2.853	653
32.9	2.721	1000
41.5	2.177	290
50.3	1.816	355
55.7	1.650	305
59.4	1.555	392

Atomic structure:
```
data_Nd6Ho2Th
_cell_length_a 3.6310
_cell_length_b 3.6310
_cell_length_c 27.1430
_cell_angle_alpha 90.00
_cell_angle_beta 90.00
_cell_angle_gamma 120.00
_space_group_name_H-M_alt 'P -6 m 2'
_space_group_IT_number 187
_space_group_name_Hall 'P -6 2'
loop_
_atom_site_label
_atom_site_type_symbol
_atom_site_fract_x
_atom_site_fract_y
_atom_site_fract_z
Nd1 Nd 0.0000 0.0000 0.0665
Nd2 Nd 0.0000 0.0000 0.2781
Nd3 Nd 0.3333 0.6667 0.3912
Ho1 Ho 0.3333 0.6667 0.1705
Th1 Th 0.0000 0.0000 0.5000
```